MoRh3: theoretical X-ray powder pattern (Cu Ka), based on DFT lattice parameters and positions (GGA-PBE).

The 7 most intense peaks (2θ from 10° to 80°), sorted by position:
d [Å]	I/Imax
2.401	25
2.207	25
2.109	100
1.625	14
1.386	17
1.255	18
1.201	3

Structural model:
Lattice parameters (Å, degrees): 2.7729 2.7729 8.8281 90.00 90.00 120.00
Space group P-6m2 (No. 187)
Asymmetric unit:
Mo  0.0000  0.0000  0.0000 x1
Rh  0.0000  0.0000  0.5000 x1
Rh  0.6667  0.3333  0.2453 x2

***

MoRh3: theoretical X-ray powder pattern (Cu Ka), based on DFT lattice parameters and positions (GGA-PBE).

The 6 most intense peaks (2θ from 10° to 80°), sorted by position:
d [Å]	I/Imax
2.391	25
2.193	25
2.099	100
1.616	14
1.380	17
1.247	18

Structural model:
Lattice parameters (Å, degrees): 5.5212 5.5212 4.3865 90.00 90.00 120.00
Space group P6_3/mmc (No. 194)
Asymmetric unit:
Mo  0.3333  0.6667  0.2500 x2
Rh  0.1671  0.3343  0.7500 x6

***

MoRh: theoretical X-ray powder pattern (Cu Ka), based on DFT lattice parameters and positions (GGA-PBE).

The 10 most intense peaks (2θ from 10° to 80°), sorted by position:
d [Å]	I/Imax
2.424	15
2.400	21
2.224	37
2.128	45
2.112	100
1.639	9
1.631	12
1.395	16
1.265	8
1.261	18

Structural model:
Lattice parameters (Å, degrees): 4.4477 2.7620 4.8479 90.00 90.00 90.00
Space group Pmma (No. 51)
Asymmetric unit:
Mo  0.2500  0.0000  0.1709 x2
Rh  0.2500  0.5000  0.6738 x2

***

MoRh: theoretical X-ray powder pattern (Cu Ka), based on DFT lattice parameters and positions (GGA-PBE).

The 7 most intense peaks (2θ from 10° to 80°), sorted by position:
d [Å]	I/Imax
2.421	25
2.219	25
2.125	100
1.636	14
1.398	17
1.262	18
1.210	3

Structural model:
Lattice parameters (Å, degrees): 2.7954 2.7954 4.4374 90.00 90.00 120.00
Space group P-6m2 (No. 187)
Asymmetric unit:
Mo  0.0000  0.0000  0.0000 x1
Rh  0.3333  0.6667  0.5000 x1

***

Mo2Ru: theoretical X-ray powder pattern (Cu Ka), based on DFT lattice parameters and positions (GGA-PBE).

The 10 most intense peaks (2θ from 10° to 80°), sorted by position:
d [Å]	I/Imax
2.489	22
2.338	86
2.272	40
2.211	29
2.155	71
2.116	100
2.067	50
1.377	16
1.353	22
1.324	17

Structural model:
Lattice parameters (Å, degrees): 9.6378 9.6378 4.9774 90.00 90.00 90.00
Space group P4_2/mnm (No. 136)
Asymmetric unit:
Mo  0.0395  0.3704  0.0000 x8
Mo  0.1076  0.1076  0.0000 x4
Mo  0.1777  0.8223  0.2439 x8
Ru  0.0000  0.0000  0.5000 x2
Ru  0.0666  0.2655  0.5000 x8

***

MoRu3: theoretical X-ray powder pattern (Cu Ka), based on DFT lattice parameters and positions (GGA-PBE).

The 6 most intense peaks (2θ from 10° to 80°), sorted by position:
d [Å]	I/Imax
2.388	25
2.186	25
2.096	100
1.613	14
1.379	17
1.244	18

Structural model:
Lattice parameters (Å, degrees): 5.5151 5.5151 4.3728 90.00 90.00 120.00
Space group P6_3/mmc (No. 194)
Asymmetric unit:
Mo  0.3333  0.6667  0.2500 x2
Ru  0.1666  0.3332  0.7500 x6

***

MoRu: theoretical X-ray powder pattern (Cu Ka), based on DFT lattice parameters and positions (GGA-PBE).

The 7 most intense peaks (2θ from 10° to 80°), sorted by position:
d [Å]	I/Imax
2.405	25
2.232	26
2.117	100
1.636	15
1.389	17
1.265	18
1.203	3

Structural model:
Lattice parameters (Å, degrees): 2.7774 2.7774 4.4637 90.00 90.00 120.00
Space group P-6m2 (No. 187)
Asymmetric unit:
Mo  0.0000  0.0000  0.0000 x1
Ru  0.6667  0.3333  0.5000 x1

***

Mo3Ru2: theoretical X-ray powder pattern (Cu Ka), based on DFT lattice parameters and positions (GGA-PBE).

The 10 most intense peaks (2θ from 10° to 80°), sorted by position:
d [Å]	I/Imax
2.334	90
2.328	87
2.206	60
2.152	69
2.149	69
2.113	100
2.108	97
2.066	52
2.056	48
1.350	45

Structural model:
Lattice parameters (Å, degrees): 13.5529 13.6322 4.9673 90.00 90.00 90.00
Space group Cmm2 (No. 35)
Asymmetric unit:
Mo  0.0000  0.1050  0.0000 x4
Mo  0.0000  0.3209  0.7488 x4
Mo  0.1041  0.5000  0.5015 x4
Mo  0.1651  0.2062  0.9990 x8
Mo  0.1782  0.0000  0.7494 x4
Mo  0.1822  0.0000  0.2494 x4
Mo  0.2014  0.3338  0.4971 x8
Ru  0.0000  0.0000  0.4946 x2
Ru  0.0000  0.3189  0.2463 x4
Ru  0.0000  0.5000  0.9898 x2
Ru  0.0978  0.1670  0.4960 x8
Ru  0.1666  0.4011  0.0011 x8

***

Which formula does entry 8 have?
Mo3Ru2